Structure and simulated powder XRD pattern of Li6TeN4 (the PBE geometry in the Materials Project; CuKα).
Kinematic intensities with the Lorentz-polarization factor, no thermal factor.

Structure:
```
data_Li6TeN4
_cell_length_a 6.826
_cell_length_b 6.826
_cell_length_c 4.943
_cell_angle_alpha 90.00
_cell_angle_beta 90.00
_cell_angle_gamma 90.00
_space_group_name_H-M_alt 'P 42/n m c'
_space_group_IT_number 137
loop_
_space_group_symop_operation_xyz
'x,y,z'
'-x,-y,-z'
'-y+1/2,x,z+1/2'
'y+1/2,-x,-z+1/2'
'-x+1/2,-y+1/2,z'
'x+1/2,y+1/2,-z'
'y,-x+1/2,z+1/2'
'-y,x+1/2,-z+1/2'
'x+1/2,-y,-z'
'-x+1/2,y,z'
'-y,-x,-z+1/2'
'y,x,z+1/2'
'-x,y+1/2,-z'
'x,-y+1/2,z'
'y+1/2,x+1/2,-z+1/2'
'-y+1/2,-x+1/2,z+1/2'
loop_
_atom_site_label
_atom_site_fract_x
_atom_site_fract_y
_atom_site_fract_z
_atom_site_occupancy
Li1 0.037 0.537 0.250 1
Li2 0.250 0.250 0.175 1
Te1 0.250 0.750 0.750 1
N1 0.001 0.750 0.549 1
```

Principal peaks in the range 2θ from 5° to 70°, sorted by position:
d = 4.827 Å, I = 62.3, hkl 1 1 0; d = 4.003 Å, I = 100.0, hkl 1 0 1; d = 3.413 Å, I = 27.2, hkl 2 0 0; d = 2.597 Å, I = 56.1, hkl 2 1 1; d = 2.200 Å, I = 17.0, hkl 1 1 2; d = 2.159 Å, I = 13.9, hkl 3 1 0; d = 2.067 Å, I = 20.9, hkl 3 0 1; d = 1.768 Å, I = 13.5, hkl 3 2 1; d = 1.727 Å, I = 19.0, hkl 2 2 2; d = 1.570 Å, I = 13.4, hkl 4 1 1